# NaPm2Cd5
Theoretical powder diffractogram, Cu Kα, 1.54184 Å. Input: a cell relaxed with GGA-PBE.

Structural model:
```
NaPm2Cd5
1.0
5.0692 0.0000 0.0000
0.0000 5.0692 0.0000
0.0000 0.0000 15.8901
Na Pm Cd
2 4 10
direct
0.0000 0.0000 0.0000
0.5000 0.5000 0.5000
0.0000 0.0000 0.2588
0.0000 0.0000 0.7412
0.5000 0.5000 0.2412
0.5000 0.5000 0.7588
0.0000 0.0000 0.5000
0.0000 0.5000 0.1152
0.0000 0.5000 0.3848
0.0000 0.5000 0.6152
0.0000 0.5000 0.8848
0.5000 0.0000 0.1152
0.5000 0.0000 0.3848
0.5000 0.0000 0.6152
0.5000 0.0000 0.8848
0.5000 0.5000 0.0000
```

Main lines, sorted by position (2θ from 10° to 90°):
| two_theta | I/Imax | index |
| --- | --- | --- |
| 27.30 | 10 | 1 1 2 |
| 33.68 | 100 | 1 1 4 |
| 35.42 | 46 | 2 0 0 |
| 45.68 | 9 | 0 0 8 |
| 50.95 | 16 | 2 2 0 |
| 59.09 | 16 | 2 0 8 |
| 62.48 | 32 | 3 1 4 |
| 70.81 | 9 | 2 2 8 |
| 84.73 | 8 | 3 3 4 |
| 85.71 | 7 | 4 2 0 |